The following is a computed PXRD pattern of NaLaGa4S8. It was derived from a crystal structure in the Materials Project, relaxed with PBE, using Cu Ka.
Neutral-atom scattering factors, no anomalous dispersion.

Crystal structure
Cell lengths 14.5349, 11.9948, 11.9463 Å; angles 74.76, 52.77, 52.47 degrees
Positions (direct):
Na1 0.1211 0.1211 0.6289
Na2 0.3711 0.3711 0.8789
Na3 0.6289 0.6289 0.1211
Na4 0.8789 0.8789 0.3711
La1 0.1250 0.1250 0.1250
La2 0.3750 0.3750 0.3750
La3 0.6250 0.6250 0.6250
La4 0.8750 0.8750 0.8750
Ga1 0.0306 0.4704 0.8595
Ga2 0.1115 0.3841 0.3669
Ga3 0.1395 0.8595 0.4704
Ga4 0.1405 0.8605 0.9694
Ga5 0.3624 0.6331 0.6159
Ga6 0.3669 0.6376 0.1115
Ga7 0.3841 0.1115 0.6376
Ga8 0.4704 0.0306 0.1395
Ga9 0.5296 0.9694 0.8605
Ga10 0.6159 0.8885 0.3624
Ga11 0.6331 0.3624 0.8885
Ga12 0.6376 0.3669 0.3841
Ga13 0.8595 0.1395 0.0306
Ga14 0.8605 0.1405 0.5296
Ga15 0.8885 0.6159 0.6331
Ga16 0.9694 0.5296 0.1405
S1 0.0792 0.5896 0.9171
S2 0.0829 0.0859 0.9208
S3 0.0859 0.0829 0.4104
S4 0.0912 0.5770 0.4137
S5 0.1514 0.3419 0.1617
S6 0.1550 0.8383 0.6581
S7 0.1617 0.8450 0.1514
S8 0.1834 0.3156 0.6540
S9 0.3156 0.1834 0.3471
S10 0.3419 0.1514 0.8450
S11 0.3460 0.6529 0.8166
S12 0.3471 0.6540 0.3156
S13 0.4104 0.9208 0.0859
S14 0.4137 0.4181 0.0912
S15 0.4181 0.4137 0.5770
S16 0.4230 0.9088 0.5819
S17 0.5770 0.0912 0.4181
S18 0.5819 0.5863 0.4230
S19 0.5863 0.5819 0.9088
S20 0.5896 0.0792 0.9141
S21 0.6529 0.3460 0.6844
S22 0.6540 0.3471 0.1834
S23 0.6581 0.8486 0.1550
S24 0.6844 0.8166 0.6529
S25 0.8166 0.6844 0.3460
S26 0.8383 0.1550 0.8486
S27 0.8450 0.1617 0.3419
S28 0.8486 0.6581 0.8383
S29 0.9088 0.4230 0.5863
S30 0.9141 0.9171 0.5896
S31 0.9171 0.9141 0.0792
S32 0.9208 0.4104 0.0829

Main lines, most intense first (2θ = 10–90°):
Position (°2θ)  I_rel
24.17  100
38.39  86
12.18  44
29.93  42
34.82  35
17.22  34
16.82  27
46.56  25
31.19  22
52.88  21